Calculated X-ray powder pattern
Compound: RuC6N9
Radiation: Cu Kα
Structure: a cell relaxed with GGA-PBE
Intensities are scaled so that the largest is 100.

The 6 most intense peaks (15 to 90 degrees two-theta), by angle:
Position (°2θ)	I/Imax
15.59	65.3
16.13	100.0
20.45	40.1
24.74	67.0
27.00	26.8
27.49	48.6

Cell and atoms:
Unit cell a=7.6099 b=7.6099 c=11.3681 alpha=90.00 beta=90.00 gamma=124.42
Atoms (fractional coordinates):
Ru (0.2191, 0.7809, 0.7500)
Ru (0.7809, 0.2191, 0.2500)
C (0.0293, 0.2888, 0.7500)
C (0.1976, 0.4842, 0.0953)
C (0.1976, 0.4842, 0.4047)
C (0.2888, 0.0293, 0.2500)
C (0.4842, 0.1976, 0.5953)
C (0.4842, 0.1976, 0.9047)
C (0.5158, 0.8024, 0.0953)
C (0.5158, 0.8024, 0.4047)
C (0.7112, 0.9707, 0.7500)
C (0.8024, 0.5158, 0.5953)
C (0.8024, 0.5158, 0.9047)
C (0.9707, 0.7112, 0.2500)
N (0.0280, 0.3521, 0.1328)
N (0.0280, 0.3521, 0.3672)
N (0.0833, 0.9167, 0.2500)
N (0.1427, 0.4763, 0.7500)
N (0.3521, 0.0280, 0.6328)
N (0.3521, 0.0280, 0.8672)
N (0.3802, 0.6198, 0.0483)
N (0.3802, 0.6198, 0.4517)
N (0.4763, 0.1427, 0.2500)
N (0.5237, 0.8573, 0.7500)
N (0.6198, 0.3802, 0.5483)
N (0.6198, 0.3802, 0.9517)
N (0.6479, 0.9720, 0.1328)
N (0.6479, 0.9720, 0.3672)
N (0.8573, 0.5237, 0.2500)
N (0.9167, 0.0833, 0.7500)
N (0.9720, 0.6479, 0.6328)
N (0.9720, 0.6479, 0.8672)

Calculated X-ray powder pattern
Compound: Cs2RbBiF6
Radiation: Cu Kα
Structure: a cell relaxed with GGA-PBE
Intensities are scaled so that the largest is 100.

The 6 most intense peaks (15 to 90 degrees two-theta), by angle:
Position (°2θ)	I/Imax
25.25	100.0
36.02	33.3
44.50	43.5
51.85	22.2
58.53	20.8
70.67	23.8

Cell and atoms:
Unit cell a=7.0531 b=7.0531 c=7.0531 alpha=60.00 beta=60.00 gamma=60.00
Atoms (fractional coordinates):
Cs (0.2500, 0.2500, 0.2500)
Cs (0.7500, 0.7500, 0.7500)
Rb (0.0000, 0.0000, 0.0000)
Bi (0.5000, 0.5000, 0.5000)
F (0.2715, 0.2715, 0.7285)
F (0.2715, 0.7285, 0.2715)
F (0.2715, 0.7285, 0.7285)
F (0.7285, 0.2715, 0.2715)
F (0.7285, 0.2715, 0.7285)
F (0.7285, 0.7285, 0.2715)

Calculated X-ray powder pattern
Compound: Sr3Nd4O9
Radiation: Cu Kα
Structure: a cell relaxed with GGA-PBE
Intensities are scaled so that the largest is 100.

The 6 most intense peaks (15 to 90 degrees two-theta), by angle:
Position (°2θ)	I/Imax
27.24	89.7
28.51	73.0
28.75	92.6
29.04	65.9
29.56	74.7
30.61	100.0

Cell and atoms:
Unit cell a=7.5326 b=8.2037 c=9.6126 alpha=96.59 beta=100.34 gamma=106.21
Atoms (fractional coordinates):
Sr (0.0000, 0.0000, 0.0000)
Sr (0.0244, 0.8137, 0.6771)
Sr (0.2934, 0.6051, 0.5317)
Sr (0.3554, 0.3396, 0.0419)
Sr (0.6543, 0.9665, 0.6158)
Sr (0.9697, 0.3291, 0.2636)
Nd (0.1181, 0.6196, 0.0440)
Nd (0.3331, 0.1994, 0.6528)
Nd (0.4924, 0.8758, 0.2754)
Nd (0.5629, 0.0494, 0.9778)
Nd (0.6034, 0.4144, 0.4036)
Nd (0.6312, 0.6058, 0.9148)
Nd (0.9467, 0.3624, 0.7136)
Nd (0.9701, 0.8380, 0.3264)
O (0.0217, 0.3031, 0.9978)
O (0.1878, 0.8935, 0.1849)
O (0.2580, 0.0179, 0.8811)
O (0.2756, 0.9011, 0.5289)
O (0.2797, 0.5752, 0.2610)
O (0.2908, 0.4699, 0.7733)
O (0.3068, 0.3284, 0.4536)
O (0.4532, 0.7505, 0.0472)
O (0.5652, 0.2183, 0.2033)
O (0.5737, 0.2983, 0.8717)
O (0.6402, 0.2405, 0.5692)
O (0.6765, 0.7441, 0.4401)
O (0.6892, 0.8752, 0.8390)
O (0.8235, 0.0077, 0.2086)
O (0.8374, 0.6051, 0.1418)
O (0.9101, 0.6241, 0.8348)
O (0.9530, 0.5122, 0.5071)
O (0.9915, 0.0986, 0.6344)